HoV2PbO8: theoretical XRD peak list (copper Kα), based on a DFT-relaxed cell (GGA+U, Alexandria).
Kinematic intensities with the Lorentz-polarization factor, no thermal factor.

Main lines, by intensity (5° ≤ 2θ ≤ 70°):
2theta  d [Å]  I_rel  h k l
17.47  5.077  100  1 0 0
32.14  2.785  66  1 0 2
30.50  2.931  59  1 1 0
44.89  2.019  36  0 2 2
55.24  1.663  30  2 1 2
41.01  2.201  29  1 1 2
47.37  1.919  16  2 1 0
22.01  4.038  13  1 0 1

Cell and atoms:
abc: 5.8624 5.8624 6.6632
angles: 90.00 90.00 120.00
Fractional coordinates of all 12 atoms:
Ho (0.0000, 0.0000, 0.0000)
V (0.3333, 0.6667, 0.3063)
V (0.6667, 0.3333, 0.6937)
Pb (0.0000, 0.0000, 0.5000)
O (0.1652, 0.3304, 0.2268)
O (0.1652, 0.8348, 0.2268)
O (0.3304, 0.1652, 0.7732)
O (0.3333, 0.6667, 0.5529)
O (0.6667, 0.3333, 0.4471)
O (0.6696, 0.8348, 0.2268)
O (0.8348, 0.1652, 0.7732)
O (0.8348, 0.6696, 0.7732)